No. 1
# Pr3Tm3Te2Os
Computed powder X-ray diffraction pattern, Cu Kα. Input: a crystal structure in OQMD, relaxed with PBE.
Lines closer than 0.1° are merged.

Peak list (10 most intense, 10 to 80 degrees two-theta, by intensity)
32.7°, intensity 100.0; 30.3°, intensity 96.8; 32.4°, intensity 70.5; 39.2°, intensity 70.0; 36.9°, intensity 39.5; 59.5°, intensity 38.5; 12.1°, intensity 36.4; 55.5°, intensity 30.8; 43.8°, intensity 29.3; 58.6°, intensity 20.7

Crystal structure
a b c (Å): 4.137 8.433 8.433
angles (deg): 120.05 90.00 90.00
Positions (direct):
Pr 0.000 0.000 0.000
Pr 0.000 0.396 0.795
Pr 0.000 0.795 0.396
Tm 0.500 0.166 0.397
Tm 0.500 0.397 0.166
Tm 0.500 0.626 0.626
Te 0.500 0.063 0.731
Te 0.500 0.731 0.063
Os 0.000 0.394 0.394

No. 2
# OsPtS2
Computed powder X-ray diffraction pattern, Cu Kα. Input: a crystal structure in OQMD, relaxed with PBE.
Lines closer than 0.1° are merged.

Peak list (10 most intense, 10 to 80 degrees two-theta, by intensity)
14.3°, intensity 100.0; 29.8°, intensity 63.1; 47.9°, intensity 26.2; 48.1°, intensity 24.7; 39.2°, intensity 22.4; 46.7°, intensity 22.1; 40.2°, intensity 21.1; 30.5°, intensity 16.4; 36.0°, intensity 14.0; 37.3°, intensity 13.9

Crystal structure
a b c (Å): 5.869 6.180 4.226
angles (deg): 90.00 90.00 90.00
Positions (direct):
Os 0.125 0.000 0.000
Os 0.875 0.000 0.500
Pt 0.500 0.148 0.250
Pt 0.500 0.852 0.750
S 0.000 0.298 0.750
S 0.000 0.702 0.250
S 0.432 0.500 0.500
S 0.568 0.500 0.000

No. 3
# Sn2Os3Pt2
Computed powder X-ray diffraction pattern, Cu Kα. Input: a crystal structure in OQMD, relaxed with PBE.
Lines closer than 0.1° are merged.

Peak list (10 most intense, 10 to 80 degrees two-theta, by intensity)
41.0°, intensity 100.0; 41.9°, intensity 89.6; 10.8°, intensity 38.8; 75.9°, intensity 33.7; 60.0°, intensity 33.0; 23.8°, intensity 17.8; 76.5°, intensity 15.8; 29.0°, intensity 14.4; 21.7°, intensity 14.3; 47.7°, intensity 11.0

Crystal structure
a b c (Å): 4.312 4.312 16.379
angles (deg): 90.00 90.00 120.00
Positions (direct):
Sn 0.333 0.667 0.078
Sn 0.333 0.667 0.422
Sn 0.667 0.333 0.578
Sn 0.667 0.333 0.922
Os 0.000 0.000 0.174
Os 0.000 0.000 0.326
Os 0.000 0.000 0.674
Os 0.000 0.000 0.826
Os 0.333 0.667 0.750
Os 0.667 0.333 0.250
Pt 0.000 0.000 0.000
Pt 0.000 0.000 0.500
Pt 0.333 0.667 0.250
Pt 0.667 0.333 0.750